No. 1
# AcHo4Sb5
Theoretical powder diffraction line list, CuKα. Input: a DFT-relaxed cell (GGA-PBE, Alexandria).
Intensities are scaled so that the largest is 100.

Crystal structure
```
data_AcHo4Sb5
_symmetry_space_group_name_H-M 'P 1'
_symmetry_Int_Tables_number 1
_symmetry_space_group_name_Hall 'P 1'
_cell_length_a 11.791
_cell_length_b 11.791
_cell_length_c 11.791
_cell_angle_alpha 158.25
_cell_angle_beta 148.82
_cell_angle_gamma 38.34
loop_
_atom_site_label
_atom_site_type_symbol
_atom_site_fract_x
_atom_site_fract_y
_atom_site_fract_z
Ac1 Ac 0.000 0.000 0.000
Ho1 Ho 0.205 0.205 0.000
Ho2 Ho 0.399 0.399 0.000
Ho3 Ho 0.601 0.601 0.000
Ho4 Ho 0.795 0.795 0.000
Sb1 Sb 0.109 0.609 0.500
Sb2 Sb 0.302 0.802 0.500
Sb3 Sb 0.500 0.000 0.500
Sb4 Sb 0.698 0.198 0.500
Sb5 Sb 0.891 0.391 0.500
```

The 10 most intense peaks (2θ from 15° to 90°), sorted by position:
2θ (°), I (rel.)
28.16, 52
28.35, 100
40.39, 78
40.53, 38
50.08, 41
58.65, 12
66.01, 18
66.32, 24
73.34, 13
73.63, 24



No. 2
# Ac4HoSb5
Theoretical powder diffraction line list, CuKα. Input: a DFT-relaxed cell (GGA-PBE, Alexandria).
Intensities are scaled so that the largest is 100.

Crystal structure
```
data_Ac4HoSb5
_symmetry_space_group_name_H-M 'P 1'
_symmetry_Int_Tables_number 1
_symmetry_space_group_name_Hall 'P 1'
_cell_length_a 8.172
_cell_length_b 8.172
_cell_length_c 8.172
_cell_angle_alpha 99.67
_cell_angle_beta 99.67
_cell_angle_gamma 131.62
loop_
_atom_site_label
_atom_site_type_symbol
_atom_site_fract_x
_atom_site_fract_y
_atom_site_fract_z
Ac1 Ac 0.096 0.700 0.796
Ac2 Ac 0.300 0.096 0.396
Ac3 Ac 0.700 0.904 0.604
Ac4 Ac 0.904 0.300 0.204
Ho1 Ho 0.500 0.500 0.000
Sb1 Sb 0.000 0.000 0.000
Sb2 Sb 0.213 0.404 0.617
Sb3 Sb 0.404 0.787 0.191
Sb4 Sb 0.596 0.213 0.809
Sb5 Sb 0.787 0.596 0.383
```

The 10 most intense peaks (2θ from 15° to 90°), sorted by position:
2θ (°), I (rel.)
23.07, 17
26.62, 43
26.74, 85
38.12, 100
47.15, 36
62.03, 16
62.24, 31
68.77, 12
68.95, 23
87.64, 12



No. 3
# Ac14HoSc
Theoretical powder diffraction line list, CuKα. Input: a DFT-relaxed cell (GGA-PBE, Alexandria).
Intensities are scaled so that the largest is 100.

Crystal structure
```
data_Ac14HoSc
_symmetry_space_group_name_H-M 'P 1'
_symmetry_Int_Tables_number 1
_symmetry_space_group_name_Hall 'P 1'
_cell_length_a 11.149
_cell_length_b 7.832
_cell_length_c 7.832
_cell_angle_alpha 90.00
_cell_angle_beta 90.00
_cell_angle_gamma 90.00
loop_
_atom_site_label
_atom_site_type_symbol
_atom_site_fract_x
_atom_site_fract_y
_atom_site_fract_z
Ac1 Ac 0.000 0.000 0.000
Ac2 Ac 0.000 0.000 0.500
Ac3 Ac 0.000 0.500 0.000
Ac4 Ac 0.000 0.500 0.500
Ac5 Ac 0.258 0.248 0.248
Ac6 Ac 0.258 0.248 0.752
Ac7 Ac 0.258 0.752 0.248
Ac8 Ac 0.259 0.751 0.751
Ac9 Ac 0.500 0.000 0.499
Ac10 Ac 0.500 0.499 0.000
Ac11 Ac 0.741 0.751 0.751
Ac12 Ac 0.742 0.248 0.248
Ac13 Ac 0.742 0.248 0.752
Ac14 Ac 0.742 0.752 0.248
Ho1 Ho 0.500 0.500 0.500
Sc1 Sc 0.500 0.000 0.000
```

The 10 most intense peaks (2θ from 15° to 90°), sorted by position:
2θ (°), I (rel.)
27.84, 100
32.11, 17
32.33, 34
46.21, 25
46.38, 13
54.67, 15
54.96, 31
57.53, 13
74.45, 12
85.88, 9



No. 4
# Ac2HoScSe5
Theoretical powder diffraction line list, CuKα. Input: a DFT-relaxed cell (GGA-PBE, Alexandria).
Intensities are scaled so that the largest is 100.

Crystal structure
```
data_Ac2HoScSe5
_symmetry_space_group_name_H-M 'P 1'
_symmetry_Int_Tables_number 1
_symmetry_space_group_name_Hall 'P 1'
_cell_length_a 8.987
_cell_length_b 8.987
_cell_length_c 13.296
_cell_angle_alpha 90.00
_cell_angle_beta 90.00
_cell_angle_gamma 152.84
loop_
_atom_site_label
_atom_site_type_symbol
_atom_site_fract_x
_atom_site_fract_y
_atom_site_fract_z
Ac1 Ac 0.105 0.895 0.500
Ac2 Ac 0.143 0.857 0.121
Ac3 Ac 0.857 0.143 0.621
Ac4 Ac 0.895 0.105 0.000
Ho1 Ho 0.207 0.793 0.826
Ho2 Ho 0.793 0.207 0.326
Sc1 Sc 0.471 0.529 0.269
Sc2 Sc 0.529 0.471 0.769
Se1 Se 0.054 0.946 0.882
Se2 Se 0.281 0.719 0.473
Se3 Se 0.323 0.677 0.180
Se4 Se 0.371 0.629 0.813
Se5 Se 0.486 0.514 0.582
Se6 Se 0.514 0.486 0.082
Se7 Se 0.629 0.371 0.313
Se8 Se 0.677 0.323 0.680
Se9 Se 0.719 0.281 0.973
Se10 Se 0.946 0.054 0.382
```

The 10 most intense peaks (2θ from 15° to 90°), sorted by position:
2θ (°), I (rel.)
22.50, 28
25.51, 17
26.07, 15
29.67, 100
31.45, 31
35.28, 18
36.00, 34
42.85, 26
44.31, 14
54.11, 13



No. 5
# AcHo3Se4
Theoretical powder diffraction line list, CuKα. Input: a DFT-relaxed cell (GGA-PBE, Alexandria).
Intensities are scaled so that the largest is 100.

Crystal structure
```
data_AcHo3Se4
_symmetry_space_group_name_H-M 'P 1'
_symmetry_Int_Tables_number 1
_symmetry_space_group_name_Hall 'P 1'
_cell_length_a 4.106
_cell_length_b 4.106
_cell_length_c 28.036
_cell_angle_alpha 90.00
_cell_angle_beta 90.00
_cell_angle_gamma 120.00
loop_
_atom_site_label
_atom_site_type_symbol
_atom_site_fract_x
_atom_site_fract_y
_atom_site_fract_z
Ac1 Ac 0.333 0.667 0.250
Ac2 Ac 0.667 0.333 0.750
Ho1 Ho 0.000 0.000 0.000
Ho2 Ho 0.000 0.000 0.500
Ho3 Ho 0.333 0.667 0.616
Ho4 Ho 0.333 0.667 0.884
Ho5 Ho 0.667 0.333 0.116
Ho6 Ho 0.667 0.333 0.384
Se1 Se 0.000 0.000 0.174
Se2 Se 0.000 0.000 0.326
Se3 Se 0.000 0.000 0.674
Se4 Se 0.000 0.000 0.826
Se5 Se 0.333 0.667 0.058
Se6 Se 0.333 0.667 0.442
Se7 Se 0.667 0.333 0.558
Se8 Se 0.667 0.333 0.942
```

The 10 most intense peaks (2θ from 15° to 90°), sorted by position:
2θ (°), I (rel.)
26.83, 48
29.75, 91
31.62, 100
43.70, 50
44.11, 77
54.12, 17
55.29, 21
70.68, 22
73.30, 18
80.86, 17



No. 6
# Ac2Ho3Se6
Theoretical powder diffraction line list, CuKα. Input: a DFT-relaxed cell (GGA-PBE, Alexandria).
Intensities are scaled so that the largest is 100.

Crystal structure
```
data_Ac2Ho3Se6
_symmetry_space_group_name_H-M 'P 1'
_symmetry_Int_Tables_number 1
_symmetry_space_group_name_Hall 'P 1'
_cell_length_a 7.196
_cell_length_b 7.196
_cell_length_c 7.496
_cell_angle_alpha 99.23
_cell_angle_beta 99.23
_cell_angle_gamma 119.73
loop_
_atom_site_label
_atom_site_type_symbol
_atom_site_fract_x
_atom_site_fract_y
_atom_site_fract_z
Ac1 Ac 0.166 0.834 0.000
Ac2 Ac 0.834 0.166 0.000
Ho1 Ho 0.000 0.000 0.500
Ho2 Ho 0.335 0.665 0.500
Ho3 Ho 0.665 0.335 0.500
Se1 Se 0.080 0.408 0.725
Se2 Se 0.264 0.264 0.271
Se3 Se 0.408 0.080 0.725
Se4 Se 0.592 0.920 0.275
Se5 Se 0.736 0.736 0.729
Se6 Se 0.920 0.592 0.275
```

The 10 most intense peaks (2θ from 15° to 90°), sorted by position:
2θ (°), I (rel.)
26.15, 10
29.94, 100
42.10, 13
42.23, 25
43.44, 24
43.63, 12
53.80, 14
62.24, 8
69.67, 11
71.42, 11



No. 7
# Ac2HoSe4
Theoretical powder diffraction line list, CuKα. Input: a DFT-relaxed cell (GGA-PBE, Alexandria).
Intensities are scaled so that the largest is 100.

Crystal structure
```
data_Ac2HoSe4
_symmetry_space_group_name_H-M 'P 1'
_symmetry_Int_Tables_number 1
_symmetry_space_group_name_Hall 'P 1'
_cell_length_a 7.316
_cell_length_b 8.188
_cell_length_c 15.101
_cell_angle_alpha 90.00
_cell_angle_beta 90.00
_cell_angle_gamma 90.00
loop_
_atom_site_label
_atom_site_type_symbol
_atom_site_fract_x
_atom_site_fract_y
_atom_site_fract_z
Ac1 Ac 0.006 0.105 0.141
Ac2 Ac 0.006 0.395 0.641
Ac3 Ac 0.494 0.605 0.141
Ac4 Ac 0.494 0.895 0.641
Ac5 Ac 0.506 0.105 0.359
Ac6 Ac 0.506 0.395 0.859
Ac7 Ac 0.994 0.605 0.359
Ac8 Ac 0.994 0.895 0.859
Ho1 Ho 0.000 0.000 0.500
Ho2 Ho 0.000 0.500 0.000
Ho3 Ho 0.500 0.000 0.000
Ho4 Ho 0.500 0.500 0.500
Se1 Se 0.126 0.542 0.821
Se2 Se 0.126 0.958 0.321
Se3 Se 0.181 0.697 0.543
Se4 Se 0.181 0.803 0.043
Se5 Se 0.319 0.197 0.543
Se6 Se 0.319 0.303 0.043
Se7 Se 0.374 0.042 0.821
Se8 Se 0.374 0.458 0.321
Se9 Se 0.626 0.542 0.679
Se10 Se 0.626 0.958 0.179
Se11 Se 0.681 0.697 0.957
Se12 Se 0.681 0.803 0.457
Se13 Se 0.819 0.197 0.957
Se14 Se 0.819 0.303 0.457
Se15 Se 0.874 0.042 0.679
Se16 Se 0.874 0.458 0.179
```

The 10 most intense peaks (2θ from 15° to 90°), sorted by position:
2θ (°), I (rel.)
20.08, 81
22.50, 25
24.06, 100
24.33, 49
33.38, 44
33.93, 41
35.63, 62
36.99, 29
37.12, 62
42.66, 77



No. 8
# Ac2YHoSe6
Theoretical powder diffraction line list, CuKα. Input: a DFT-relaxed cell (GGA-PBE, Alexandria).
Intensities are scaled so that the largest is 100.

Crystal structure
```
data_Ac2YHoSe6
_symmetry_space_group_name_H-M 'P 1'
_symmetry_Int_Tables_number 1
_symmetry_space_group_name_Hall 'P 1'
_cell_length_a 7.170
_cell_length_b 7.898
_cell_length_c 12.765
_cell_angle_alpha 90.00
_cell_angle_beta 124.12
_cell_angle_gamma 90.00
loop_
_atom_site_label
_atom_site_type_symbol
_atom_site_fract_x
_atom_site_fract_y
_atom_site_fract_z
Ac1 Ac 0.213 0.097 0.250
Ac2 Ac 0.213 0.403 0.750
Ac3 Ac 0.787 0.597 0.250
Ac4 Ac 0.787 0.903 0.750
Y1 Y 0.500 0.000 0.000
Y2 Y 0.500 0.500 0.500
Ho1 Ho 0.000 0.000 0.500
Ho2 Ho 0.000 0.500 0.000
Se1 Se 0.112 0.188 0.936
Se2 Se 0.112 0.312 0.436
Se3 Se 0.257 0.687 0.936
Se4 Se 0.257 0.813 0.436
Se5 Se 0.381 0.041 0.749
Se6 Se 0.381 0.459 0.249
Se7 Se 0.619 0.541 0.751
Se8 Se 0.619 0.959 0.251
Se9 Se 0.743 0.187 0.564
Se10 Se 0.743 0.313 0.064
Se11 Se 0.888 0.688 0.564
Se12 Se 0.888 0.812 0.064
```

The 10 most intense peaks (2θ from 15° to 90°), sorted by position:
2θ (°), I (rel.)
18.71, 39
23.76, 100
28.62, 38
30.45, 39
33.93, 33
34.11, 28
34.85, 33
36.36, 28
37.37, 38
43.09, 56



No. 9
# Ac3HoSi6
Theoretical powder diffraction line list, CuKα. Input: a DFT-relaxed cell (GGA-PBE, Alexandria).
Intensities are scaled so that the largest is 100.

Crystal structure
```
data_Ac3HoSi6
_symmetry_space_group_name_H-M 'P 1'
_symmetry_Int_Tables_number 1
_symmetry_space_group_name_Hall 'P 1'
_cell_length_a 8.025
_cell_length_b 8.025
_cell_length_c 8.025
_cell_angle_alpha 98.31
_cell_angle_beta 98.31
_cell_angle_gamma 98.31
loop_
_atom_site_label
_atom_site_type_symbol
_atom_site_fract_x
_atom_site_fract_y
_atom_site_fract_z
Ac1 Ac 0.188 0.750 0.312
Ac2 Ac 0.250 0.688 0.812
Ac3 Ac 0.312 0.188 0.750
Ac4 Ac 0.688 0.812 0.250
Ac5 Ac 0.750 0.312 0.188
Ac6 Ac 0.812 0.250 0.688
Ho1 Ho 0.000 0.000 0.000
Ho2 Ho 0.500 0.500 0.500
Si1 Si 0.019 0.093 0.390
Si2 Si 0.093 0.390 0.019
Si3 Si 0.110 0.407 0.481
Si4 Si 0.390 0.019 0.093
Si5 Si 0.407 0.481 0.110
Si6 Si 0.481 0.110 0.407
Si7 Si 0.519 0.890 0.593
Si8 Si 0.593 0.519 0.890
Si9 Si 0.610 0.981 0.907
Si10 Si 0.890 0.593 0.519
Si11 Si 0.907 0.610 0.981
Si12 Si 0.981 0.907 0.610
```

The 10 most intense peaks (2θ from 15° to 90°), sorted by position:
2θ (°), I (rel.)
17.32, 53
22.72, 26
23.64, 31
27.13, 82
29.43, 40
31.62, 100
34.35, 69
35.06, 73
45.86, 32
50.80, 48



No. 10
# Ac2SmHo
Theoretical powder diffraction line list, CuKα. Input: a DFT-relaxed cell (GGA-PBE, Alexandria).
Intensities are scaled so that the largest is 100.

Crystal structure
```
data_Ac2SmHo
_symmetry_space_group_name_H-M 'P 1'
_symmetry_Int_Tables_number 1
_symmetry_space_group_name_Hall 'P 1'
_cell_length_a 6.398
_cell_length_b 3.818
_cell_length_c 6.616
_cell_angle_alpha 90.00
_cell_angle_beta 110.21
_cell_angle_gamma 90.00
loop_
_atom_site_label
_atom_site_type_symbol
_atom_site_fract_x
_atom_site_fract_y
_atom_site_fract_z
Ac1 Ac 0.000 0.000 0.000
Ac2 Ac 0.000 0.500 0.500
Sm1 Sm 0.500 0.000 0.500
Ho1 Ho 0.500 0.500 0.000
```

The 10 most intense peaks (2θ from 15° to 90°), sorted by position:
2θ (°), I (rel.)
28.76, 100
29.76, 31
33.62, 67
47.62, 26
48.94, 24
56.58, 15
57.17, 30
58.34, 14
59.55, 13
77.01, 13



No. 11
# Ac8Sm5Ho
Theoretical powder diffraction line list, CuKα. Input: a DFT-relaxed cell (GGA-PBE, Alexandria).
Intensities are scaled so that the largest is 100.

Crystal structure
```
data_Ac8Sm5Ho
_symmetry_space_group_name_H-M 'P 1'
_symmetry_Int_Tables_number 1
_symmetry_space_group_name_Hall 'P 1'
_cell_length_a 7.555
_cell_length_b 9.202
_cell_length_c 9.537
_cell_angle_alpha 114.25
_cell_angle_beta 101.58
_cell_angle_gamma 101.96
loop_
_atom_site_label
_atom_site_type_symbol
_atom_site_fract_x
_atom_site_fract_y
_atom_site_fract_z
Ac1 Ac 0.000 0.000 0.000
Ac2 Ac 0.033 0.826 0.284
Ac3 Ac 0.110 0.581 0.854
Ac4 Ac 0.222 0.153 0.724
Ac5 Ac 0.324 0.685 0.565
Ac6 Ac 0.533 0.827 0.270
Ac7 Ac 0.645 0.412 0.142
Ac8 Ac 0.719 0.148 0.718
Sm1 Sm 0.147 0.421 0.143
Sm2 Sm 0.427 0.270 0.406
Sm3 Sm 0.501 0.987 0.993
Sm4 Sm 0.614 0.585 0.853
Sm5 Sm 0.821 0.692 0.569
Ho1 Ho 0.921 0.266 0.401
```

The 10 most intense peaks (2θ from 15° to 90°), sorted by position:
2θ (°), I (rel.)
28.03, 38
28.96, 53
29.19, 100
30.34, 45
30.65, 23
30.79, 21
42.75, 12
48.19, 15
53.82, 11
58.01, 15



No. 12
# Ac8SmHo4
Theoretical powder diffraction line list, CuKα. Input: a DFT-relaxed cell (GGA-PBE, Alexandria).
Intensities are scaled so that the largest is 100.

Crystal structure
```
data_Ac8SmHo4
_symmetry_space_group_name_H-M 'P 1'
_symmetry_Int_Tables_number 1
_symmetry_space_group_name_Hall 'P 1'
_cell_length_a 8.312
_cell_length_b 8.312
_cell_length_c 8.312
_cell_angle_alpha 90.05
_cell_angle_beta 90.05
_cell_angle_gamma 90.05
loop_
_atom_site_label
_atom_site_type_symbol
_atom_site_fract_x
_atom_site_fract_y
_atom_site_fract_z
Ac1 Ac 0.241 0.241 0.241
Ac2 Ac 0.241 0.241 0.758
Ac3 Ac 0.241 0.758 0.241
Ac4 Ac 0.242 0.759 0.759
Ac5 Ac 0.758 0.241 0.241
Ac6 Ac 0.759 0.242 0.759
Ac7 Ac 0.759 0.759 0.242
Ac8 Ac 0.759 0.759 0.759
Sm1 Sm 0.500 0.500 0.500
Ho1 Ho 0.000 0.000 0.000
Ho2 Ho 0.000 0.500 0.500
Ho3 Ho 0.500 0.000 0.500
Ho4 Ho 0.500 0.500 0.000
```

The 10 most intense peaks (2θ from 15° to 90°), sorted by position:
2θ (°), I (rel.)
18.49, 9
21.38, 16
30.41, 100
37.48, 5
43.55, 19
49.01, 7
54.05, 40
63.29, 12
71.83, 17
87.87, 15